# 1
Simulated X-ray powder pattern of Nd2Np3N8 for Cu Kα X-rays, from DFT lattice parameters and positions (GGA-PBE).
Peak positions follow from Bragg's law for the DFT cell and can differ from measured ones.

Crystal structure
```
data_Nd2Np3N8
_chemical_formula_sum 'Nd4 Np6 N16'
_cell_length_a 6.9233
_cell_length_b 6.9233
_cell_length_c 10.3620
_cell_angle_alpha 90.00
_cell_angle_beta 90.00
_cell_angle_gamma 120.00
_symmetry_space_group_name_H-M 'P 63 m c'
_symmetry_Int_Tables_number 186
_symmetry_space_group_name_Hall 'P 6c -2c'
loop_
_atom_site_label
_atom_site_type_symbol
_atom_site_fract_x
_atom_site_fract_y
_atom_site_fract_z
Nd1 Nd 0.3333 0.6667 0.0000
Nd2 Nd 0.3333 0.6667 0.3515
Np1 Np 0.1659 0.3318 0.7098
N1 N 0.0000 0.0000 0.2992
N2 N 0.0585 0.5292 0.8201
N3 N 0.1613 0.3226 0.1309
N4 N 0.3333 0.6667 0.6037
```

Main lines, most intense first (2θ = 10–90°):
2theta	Rel. int.	index
31.1	100	2 0 1
29.8	51	2 0 0
17.1	46	0 0 2
52.9	21	2 2 0
53.8	21	2 0 5
48.0	19	2 1 3
39.8	17	2 0 3
34.6	16	0 0 4
22.7	16	1 0 2
56.0	11	2 2 2

# 2
Simulated X-ray powder pattern of LiNd3Se4 for Cu Kα X-rays, from DFT lattice parameters and positions (GGA-PBE).
Peak positions follow from Bragg's law for the DFT cell and can differ from measured ones.

Crystal structure
```
data_LiNd3Se4
_chemical_formula_sum 'Li1 Nd3 Se4'
_cell_length_a 5.936
_cell_length_b 5.936
_cell_length_c 5.936
_cell_angle_alpha 90.00
_cell_angle_beta 90.00
_cell_angle_gamma 90.00
_symmetry_space_group_name_H-M 'P m -3 m'
_symmetry_Int_Tables_number 221
_symmetry_space_group_name_Hall '-P 4 2 3'
loop_
_atom_site_label
_atom_site_type_symbol
_atom_site_fract_x
_atom_site_fract_y
_atom_site_fract_z
Li1 Li 0.000 0.000 0.000
Nd1 Nd 0.000 0.500 0.500
Se1 Se 0.000 0.000 0.500
Se2 Se 0.500 0.500 0.500
```

Main lines, most intense first (2θ = 10–90°):
2theta	Rel. int.	index
30.1	100	2 0 0
43.1	74	2 2 0
71.0	33	4 2 0
53.5	26	2 2 2
79.0	25	4 2 2
14.9	18	1 0 0
21.2	16	1 1 0
62.6	12	4 0 0
33.8	10	2 1 0
37.1	8	2 1 1

# 3
Simulated X-ray powder pattern of Nd2ScBi4 for Cu Kα X-rays, from DFT lattice parameters and positions (GGA-PBE).
Peak positions follow from Bragg's law for the DFT cell and can differ from measured ones.

Crystal structure
```
data_Nd2ScBi4
_chemical_formula_sum 'Nd2 Sc1 Bi4'
_cell_length_a 4.502
_cell_length_b 4.502
_cell_length_c 11.394
_cell_angle_alpha 90.00
_cell_angle_beta 90.00
_cell_angle_gamma 90.00
_symmetry_space_group_name_H-M 'P -4 m 2'
_symmetry_Int_Tables_number 115
_symmetry_space_group_name_Hall 'P -4 -2'
loop_
_atom_site_label
_atom_site_type_symbol
_atom_site_fract_x
_atom_site_fract_y
_atom_site_fract_z
Nd1 Nd 0.000 0.500 0.223
Sc1 Sc 0.000 0.000 0.500
Bi1 Bi 0.000 0.000 0.000
Bi2 Bi 0.000 0.500 0.667
Bi3 Bi 0.500 0.500 0.000
```

Main lines, most intense first (2θ = 10–90°):
2theta	Rel. int.	index
32.2	100	1 1 2
25.2	44	1 0 2
40.1	43	2 0 0
29.1	40	1 1 1
67.8	26	3 1 2
23.4	25	0 0 3
37.4	23	1 0 4
47.9	21	0 0 6
46.9	17	2 0 3
57.9	15	2 2 0

# 4
Simulated X-ray powder pattern of Ti5HPb2 for Cu Kα X-rays, from DFT lattice parameters and positions (GGA-PBE).
Peak positions follow from Bragg's law for the DFT cell and can differ from measured ones.

Crystal structure
```
data_Ti5HPb2
_chemical_formula_sum 'Ti10 H2 Pb4'
_cell_length_a 5.859
_cell_length_b 5.859
_cell_length_c 8.357
_cell_angle_alpha 90.00
_cell_angle_beta 90.00
_cell_angle_gamma 90.00
_symmetry_space_group_name_H-M 'I 4 m m'
_symmetry_Int_Tables_number 107
_symmetry_space_group_name_Hall 'I 4 -2'
loop_
_atom_site_label
_atom_site_type_symbol
_atom_site_fract_x
_atom_site_fract_y
_atom_site_fract_z
Ti1 Ti 0.000 0.000 0.000
Ti2 Ti 0.247 0.247 0.250
H1 H 0.000 0.000 0.762
Pb1 Pb 0.000 0.500 0.001
```

Main lines, most intense first (2θ = 10–90°):
2theta	Rel. int.	index
37.5	100	2 0 2
21.4	62	1 1 0
30.4	55	1 1 2
43.7	32	2 2 0
76.2	24	4 2 2
49.1	24	3 1 0
54.2	23	3 1 2
63.2	21	2 2 4
43.3	17	0 0 4
21.3	16	0 0 2

# 5
Simulated X-ray powder pattern of Rb2Ir4O for Cu Kα X-rays, from DFT lattice parameters and positions (GGA-PBE).
Peak positions follow from Bragg's law for the DFT cell and can differ from measured ones.

Crystal structure
```
data_Rb2Ir4O
_chemical_formula_sum 'Rb4 Ir8 O2'
_cell_length_a 4.161
_cell_length_b 4.161
_cell_length_c 20.348
_cell_angle_alpha 90.00
_cell_angle_beta 90.00
_cell_angle_gamma 90.00
_symmetry_space_group_name_H-M 'I 4/m m m'
_symmetry_Int_Tables_number 139
_symmetry_space_group_name_Hall '-I 4 2'
loop_
_atom_site_label
_atom_site_type_symbol
_atom_site_fract_x
_atom_site_fract_y
_atom_site_fract_z
Rb1 Rb 0.000 0.000 0.170
Ir1 Ir 0.000 0.000 0.401
Ir2 Ir 0.000 0.500 0.000
O1 O 0.000 0.000 0.500
```

Main lines, most intense first (2θ = 10–90°):
2theta	Rel. int.	index
35.2	100	1 1 4
30.7	53	1 0 5
43.5	43	2 0 0
21.8	34	1 0 1
40.6	30	1 1 6
44.5	28	0 0 10
31.7	25	1 1 2
74.5	25	3 1 4
54.2	25	2 1 5
64.0	22	2 0 10